# 1
# In
Computed powder diffractogram, CuKα. Input: a structure optimized by DFT (GGA-PBE).

The 10 most intense peaks (10 to 90 degrees two-theta), by intensity:
- 2θ = 33.0°, I 100, (2 1 0)
- 2θ = 36.3°, I 48, (2 1 1)
- 2θ = 56.8°, I 40, (3 1 2)
- 2θ = 29.5°, I 16, (2 0 0)
- 2θ = 44.8°, I 12, (2 2 1)
- 2θ = 71.2°, I 12, (4 2 1)
- 2θ = 67.3°, I 12, (3 3 1)
- 2θ = 49.9°, I 10, (3 1 1)
- 2θ = 86.4°, I 9, (5 0 2)
- 2θ = 63.2°, I 9, (4 1 0)

Structure:
a b c (Å): 6.065 6.065 6.065
angles (deg): 90.00 90.00 90.00
Element x y z (fractional)
1 In 0.156 0.156 0.156
2 In 0.156 0.344 0.656
3 In 0.344 0.656 0.156
4 In 0.344 0.844 0.656
5 In 0.656 0.156 0.344
6 In 0.656 0.344 0.844
7 In 0.844 0.656 0.344
8 In 0.844 0.844 0.844

***

# 2
# Na3H5C4O8
Computed powder diffractogram, CuKα. Input: a structure optimized by DFT (GGA-PBE).

The 10 most intense peaks (10 to 90 degrees two-theta), by intensity:
- 2θ = 30.1°, I 100, (1 2 1)
- 2θ = 30.0°, I 83, (-1 1 1)
- 2θ = 11.2°, I 54, (0 0 1)
- 2θ = 11.4°, I 51, (0 1 0)
- 2θ = 29.4°, I 38, (0 2 -1)
- 2θ = 12.5°, I 30, (0 1 1)
- 2θ = 34.1°, I 29, (0 0 3)
- 2θ = 51.3°, I 25, (2 1 0)
- 2θ = 37.2°, I 24, (1 3 1)
- 2θ = 29.9°, I 23, (1 1 -1)

Structure:
a b c (Å): 3.569 8.579 8.580
angles (deg): 66.87 87.13 79.35
Element x y z (fractional)
1 Na 0.000 0.000 0.000
2 Na 0.277 0.469 0.831
3 Na 0.723 0.531 0.169
4 H 0.088 0.162 0.620
5 H 0.440 0.142 0.352
6 H 0.500 0.500 0.500
7 H 0.560 0.858 0.648
8 H 0.912 0.838 0.380
9 C 0.110 0.725 0.373
10 C 0.396 0.190 0.211
11 C 0.604 0.810 0.789
12 C 0.890 0.275 0.627
13 O 0.142 0.705 0.236
14 O 0.291 0.623 0.514
15 O 0.300 0.352 0.133
16 O 0.448 0.079 0.147
17 O 0.552 0.921 0.853
18 O 0.700 0.648 0.867
19 O 0.709 0.377 0.486
20 O 0.858 0.295 0.764